1.
Calculated PXRD pattern of Cs3Ce2NdSe6 for Cu Kα (λ = 1.5418 Å), from a PBE-relaxed structure.

Crystal structure
```
Cs3Ce2NdSe6
1.0
3.8366 -6.6449 0.0000
3.8366 6.6449 0.0000
-2.5577 0.0000 8.3826
Cs Ce Nd Se
3 2 1 6
direct
0.0000 0.0000 0.0000 Cs
0.3337 0.6663 0.0000 Cs
0.6663 0.3337 0.0000 Cs
0.1667 0.8333 0.5000 Ce
0.8333 0.1667 0.5000 Ce
0.5000 0.5000 0.5000 Nd
0.1038 0.4368 0.3105 Se
0.2300 0.2300 0.6893 Se
0.4368 0.1038 0.3105 Se
0.5632 0.8962 0.6895 Se
0.7700 0.7700 0.3107 Se
0.8962 0.5632 0.6895 Se
```

Principal peaks in the range 10 to 80 degrees two-theta, most intense first:
d_spacing	2θ (°)	I_rel
3.275	27.23	100
2.215	40.74	37
2.432	36.97	33
1.835	49.69	19
1.413	66.13	16
3.670	24.25	11
1.637	56.17	10
1.522	60.85	9
1.317	71.67	9
4.191	21.20	9
8.383	10.55	9
2.103	43.01	9

2.
Calculated PXRD pattern of Ti2MnGeBr for Cu Kα (λ = 1.5418 Å), from a PBE-relaxed structure.

Crystal structure
```
Ti2MnGeBr
1.0
4.6989 0.0000 0.0000
0.0000 4.6989 0.0000
0.0000 0.0000 4.4672
Ti Mn Ge Br
2 1 1 1
direct
0.0000 0.5000 0.0000 Ti
0.5000 0.0000 0.0000 Ti
0.0000 0.0000 0.5000 Mn
0.5000 0.5000 0.5000 Ge
0.0000 0.0000 0.0000 Br
```

Principal peaks in the range 10 to 80 degrees two-theta, most intense first:
d_spacing	2θ (°)	I_rel
2.349	38.31	100
2.666	33.62	64
1.619	56.88	59
3.238	27.55	52
2.234	40.38	43
3.323	26.83	38
1.661	55.30	32
1.333	70.67	30
4.699	18.89	27
1.902	47.84	23
1.854	49.15	15
1.410	66.29	15

3.
Calculated PXRD pattern of Ac2ScHgO6 for Cu Kα (λ = 1.5418 Å), from a PBE-relaxed structure.

Crystal structure
```
Ac2ScHgO6
1.0
5.7224 0.0000 0.0000
0.0000 5.7224 0.0000
0.0000 0.0000 5.1050
Ac Sc Hg O
2 1 1 6
direct
0.0000 0.5000 0.0000 Ac
0.5000 0.0000 0.0000 Ac
0.0000 0.0000 0.5620 Sc
0.5000 0.5000 0.5722 Hg
0.0000 0.0000 0.1766 O
0.2372 0.2372 0.7108 O
0.2372 0.7628 0.7108 O
0.5000 0.5000 0.1330 O
0.7628 0.2372 0.7108 O
0.7628 0.7628 0.7108 O
```

Principal peaks in the range 10 to 80 degrees two-theta, most intense first:
d_spacing	2θ (°)	I_rel
3.171	28.14	100
2.861	31.26	39
1.706	53.74	35
1.905	47.75	26
2.023	44.80	21
2.554	35.14	15
5.105	17.37	13
1.586	58.18	12
2.159	41.84	11
1.569	58.87	10
5.722	15.48	10
1.240	76.91	9

4.
Calculated PXRD pattern of Nd3UTe6 for Cu Kα (λ = 1.5418 Å), from a PBE-relaxed structure.

Crystal structure
```
Nd3UTe6
1.0
7.0111 -4.3171 0.0000
7.0111 4.3171 0.0000
-4.2817 0.0000 6.4834
Nd U Te
3 1 6
direct
0.0000 0.0000 0.0000 Nd
0.2498 0.2498 0.6782 Nd
0.7502 0.7502 0.3218 Nd
0.5000 0.5000 0.5000 U
0.1643 0.6624 0.6618 Te
0.2548 0.2548 0.0858 Te
0.3376 0.8357 0.3382 Te
0.6624 0.1643 0.6618 Te
0.7452 0.7452 0.9142 Te
0.8357 0.3376 0.3382 Te
```

Principal peaks in the range 10 to 80 degrees two-theta, most intense first:
d_spacing	2θ (°)	I_rel
4.110	21.62	100
2.422	37.13	69
2.888	30.97	66
3.390	26.29	47
3.487	25.55	45
2.159	41.84	42
2.589	34.64	36
3.591	24.80	36
2.451	36.67	26
2.711	33.04	23
5.775	15.34	22
2.182	41.37	22

5.
Calculated PXRD pattern of Tb6Tl5Sn for Cu Kα (λ = 1.5418 Å), from a PBE-relaxed structure.

Crystal structure
```
Tb6Tl5Sn
1.0
2.6795 -8.0701 0.0000
2.6795 8.0701 0.0000
-0.0107 0.0000 7.6298
Tb Tl Sn
6 5 1
direct
0.0000 0.0000 0.2442 Tb
0.0000 0.0000 0.7558 Tb
0.3353 0.6643 0.2510 Tb
0.3357 0.6647 0.7490 Tb
0.6643 0.3353 0.2510 Tb
0.6647 0.3357 0.7490 Tb
0.1661 0.8339 0.5000 Tl
0.1720 0.8280 0.0000 Tl
0.5000 0.5000 0.5000 Tl
0.8280 0.1720 0.0000 Tl
0.8339 0.1661 0.5000 Tl
0.5000 0.5000 0.0000 Sn
```

Principal peaks in the range 10 to 80 degrees two-theta, most intense first:
d_spacing	2θ (°)	I_rel
2.691	33.30	100
2.680	33.44	20
1.553	59.52	19
1.549	59.68	15
1.898	47.92	15
1.345	69.92	12
1.556	59.41	12
1.202	79.83	10
1.907	47.68	7
1.206	79.49	7
1.340	70.26	2
3.797	23.43	1

6.
Calculated PXRD pattern of Pm4OsO10 for Cu Kα (λ = 1.5418 Å), from a PBE-relaxed structure.

Crystal structure
```
Pm4OsO10
1.0
-4.2800 4.2800 2.7554
4.2800 -4.2800 2.7554
4.2800 4.2800 -2.7554
Pm Os O
4 1 10
direct
0.0985 0.6959 0.7944 Pm
0.3041 0.0985 0.4026 Pm
0.6959 0.9015 0.5974 Pm
0.9015 0.3041 0.2056 Pm
0.5000 0.5000 0.0000 Os
0.1052 0.3741 0.9179 O
0.1873 0.1052 0.7311 O
0.2500 0.7500 0.5000 O
0.3741 0.4562 0.2689 O
0.4562 0.1873 0.0821 O
0.5438 0.8127 0.9179 O
0.6259 0.5438 0.7311 O
0.7500 0.2500 0.5000 O
0.8127 0.8948 0.2689 O
0.8948 0.6259 0.0821 O
```

Principal peaks in the range 10 to 80 degrees two-theta, most intense first:
d_spacing	2θ (°)	I_rel
3.144	28.39	100
1.931	47.06	35
1.635	56.27	29
2.707	33.09	21
1.914	47.50	17
1.656	55.48	15
1.252	75.98	12
2.755	32.50	11
1.572	58.73	9
1.243	76.65	6
1.353	69.44	5
1.228	77.79	5